Record 1
For Ho4Te3, DFT lattice parameters and positions (GGA-PBE) gives the theoretical X-ray powder pattern in this record (λ = 1.5418 Å (Cu Kα)).

Crystal structure
```
data_Ho4Te3
_chemical_formula_sum 'Ho8 Te6'
_cell_length_a 7.861
_cell_length_b 7.861
_cell_length_c 7.861
_cell_angle_alpha 109.47
_cell_angle_beta 109.47
_cell_angle_gamma 109.47
_space_group_name_H-M_alt 'P 1'
_space_group_IT_number 1
loop_
_space_group_symop_operation_xyz
'x,y,z'
loop_
_atom_site_label
_atom_site_type_symbol
_atom_site_fract_x
_atom_site_fract_y
_atom_site_fract_z
Ho1 Ho 0.000 0.354 0.500
Ho2 Ho 0.000 0.854 0.500
Ho3 Ho 0.146 0.146 0.146
Ho4 Ho 0.354 0.500 0.000
Ho5 Ho 0.500 0.000 0.354
Ho6 Ho 0.500 0.000 0.854
Ho7 Ho 0.646 0.646 0.646
Ho8 Ho 0.854 0.500 0.000
Te1 Te 0.125 0.750 0.875
Te2 Te 0.250 0.625 0.375
Te3 Te 0.375 0.250 0.625
Te4 Te 0.625 0.375 0.250
Te5 Te 0.750 0.875 0.125
Te6 Te 0.875 0.125 0.750
```

The 10 most intense peaks (2θ from 10° to 90°), low angle first:
2θ 31.16, intensity 100.0; 2θ 37.06, intensity 69.5; 2θ 44.65, intensity 9.5; 2θ 46.95, intensity 7.9; 2θ 49.18, intensity 18.9; 2θ 51.33, intensity 23.0; 2θ 63.14, intensity 25.1; 2θ 64.98, intensity 12.2; 2θ 66.79, intensity 14.8; 2θ 77.24, intensity 14.1


Record 2
For Ho2Te3, DFT lattice parameters and positions (GGA-PBE) gives the theoretical X-ray powder pattern in this record (λ = 1.5418 Å (Cu Kα)).

Crystal structure
```
data_Ho2Te3
_chemical_formula_sum 'Ho8 Te12'
_cell_length_a 14.396
_cell_length_b 13.731
_cell_length_c 7.532
_cell_angle_alpha 79.41
_cell_angle_beta 69.64
_cell_angle_gamma 30.95
_space_group_name_H-M_alt 'P 1'
_space_group_IT_number 1
loop_
_space_group_symop_operation_xyz
'x,y,z'
loop_
_atom_site_label
_atom_site_type_symbol
_atom_site_fract_x
_atom_site_fract_y
_atom_site_fract_z
Ho1 Ho 0.042 0.042 0.208
Ho2 Ho 0.126 0.126 0.624
Ho3 Ho 0.208 0.208 0.042
Ho4 Ho 0.376 0.376 0.874
Ho5 Ho 0.624 0.624 0.126
Ho6 Ho 0.792 0.792 0.958
Ho7 Ho 0.874 0.874 0.376
Ho8 Ho 0.958 0.958 0.792
Te1 Te 0.044 0.541 0.206
Te2 Te 0.126 0.624 0.624
Te3 Te 0.206 0.710 0.044
Te4 Te 0.290 0.794 0.459
Te5 Te 0.376 0.874 0.874
Te6 Te 0.459 0.956 0.290
Te7 Te 0.541 0.044 0.710
Te8 Te 0.624 0.126 0.126
Te9 Te 0.710 0.206 0.541
Te10 Te 0.794 0.290 0.956
Te11 Te 0.874 0.376 0.376
Te12 Te 0.956 0.459 0.794
```

The 10 most intense peaks (2θ from 10° to 90°), low angle first:
2θ 12.91, intensity 18.1; 2θ 29.05, intensity 100.0; 2θ 41.43, intensity 12.7; 2θ 41.57, intensity 63.1; 2θ 51.41, intensity 13.6; 2θ 51.57, intensity 13.5; 2θ 68.20, intensity 11.6; 2θ 68.29, intensity 17.3; 2θ 75.65, intensity 8.6; 2θ 75.91, intensity 12.9


Record 3
For Ho5Te, DFT lattice parameters and positions (GGA-PBE) gives the theoretical X-ray powder pattern in this record (λ = 1.5418 Å (Cu Kα)).

Crystal structure
```
data_Ho5Te
_chemical_formula_sum 'Ho10 Te2'
_cell_length_a 4.724
_cell_length_b 15.032
_cell_length_c 4.868
_cell_angle_alpha 90.00
_cell_angle_beta 90.00
_cell_angle_gamma 90.00
_space_group_name_H-M_alt 'P 1'
_space_group_IT_number 1
loop_
_space_group_symop_operation_xyz
'x,y,z'
loop_
_atom_site_label
_atom_site_type_symbol
_atom_site_fract_x
_atom_site_fract_y
_atom_site_fract_z
Ho1 Ho 0.000 0.000 0.000
Ho2 Ho 0.000 0.164 0.500
Ho3 Ho 0.000 0.331 0.000
Ho4 Ho 0.000 0.669 0.000
Ho5 Ho 0.000 0.836 0.500
Ho6 Ho 0.500 0.169 0.000
Ho7 Ho 0.500 0.336 0.500
Ho8 Ho 0.500 0.500 0.000
Ho9 Ho 0.500 0.664 0.500
Ho10 Ho 0.500 0.831 0.000
Te1 Te 0.000 0.500 0.500
Te2 Te 0.500 0.000 0.500
```

The 10 most intense peaks (2θ from 10° to 90°), low angle first:
2θ 31.87, intensity 100.0; 2θ 35.84, intensity 18.2; 2θ 36.93, intensity 16.9; 2θ 38.10, intensity 15.5; 2θ 52.41, intensity 12.3; 2θ 53.30, intensity 11.7; 2θ 61.93, intensity 14.8; 2θ 63.38, intensity 14.0; 2θ 64.96, intensity 13.1; 2θ 66.61, intensity 12.0


Record 4
For Ho3Te2, DFT lattice parameters and positions (GGA-PBE) gives the theoretical X-ray powder pattern in this record (λ = 1.5418 Å (Cu Kα)).

Crystal structure
```
data_Ho3Te2
_chemical_formula_sum 'Ho12 Te8'
_cell_length_a 11.835
_cell_length_b 4.087
_cell_length_c 11.629
_cell_angle_alpha 90.00
_cell_angle_beta 90.00
_cell_angle_gamma 90.00
_space_group_name_H-M_alt 'P 1'
_space_group_IT_number 1
loop_
_space_group_symop_operation_xyz
'x,y,z'
loop_
_atom_site_label
_atom_site_type_symbol
_atom_site_fract_x
_atom_site_fract_y
_atom_site_fract_z
Ho1 Ho 0.045 0.250 0.124
Ho2 Ho 0.123 0.750 0.567
Ho3 Ho 0.209 0.250 0.792
Ho4 Ho 0.291 0.750 0.292
Ho5 Ho 0.377 0.250 0.067
Ho6 Ho 0.455 0.750 0.624
Ho7 Ho 0.545 0.250 0.376
Ho8 Ho 0.623 0.750 0.933
Ho9 Ho 0.709 0.250 0.708
Ho10 Ho 0.791 0.750 0.208
Ho11 Ho 0.877 0.250 0.433
Ho12 Ho 0.955 0.750 0.876
Te1 Te 0.033 0.750 0.320
Te2 Te 0.195 0.750 0.997
Te3 Te 0.305 0.250 0.497
Te4 Te 0.467 0.250 0.820
Te5 Te 0.533 0.750 0.180
Te6 Te 0.695 0.750 0.503
Te7 Te 0.805 0.250 0.003
Te8 Te 0.967 0.250 0.680
```

The 10 most intense peaks (2θ from 10° to 90°), low angle first:
2θ 30.71, intensity 61.5; 2θ 31.19, intensity 60.2; 2θ 31.82, intensity 100.0; 2θ 32.47, intensity 71.7; 2θ 32.73, intensity 65.0; 2θ 34.37, intensity 47.4; 2θ 35.18, intensity 87.6; 2θ 38.79, intensity 46.9; 2θ 40.72, intensity 50.1; 2θ 44.32, intensity 60.7


Record 5
For Ho5Te6, DFT lattice parameters and positions (GGA-PBE) gives the theoretical X-ray powder pattern in this record (λ = 1.5418 Å (Cu Kα)).

Crystal structure
```
data_Ho5Te6
_chemical_formula_sum 'Ho5 Te6'
_cell_length_a 7.453
_cell_length_b 7.453
_cell_length_c 7.457
_cell_angle_alpha 99.70
_cell_angle_beta 99.70
_cell_angle_gamma 119.71
_space_group_name_H-M_alt 'P 1'
_space_group_IT_number 1
loop_
_space_group_symop_operation_xyz
'x,y,z'
loop_
_atom_site_label
_atom_site_type_symbol
_atom_site_fract_x
_atom_site_fract_y
_atom_site_fract_z
Ho1 Ho 0.000 0.000 0.000
Ho2 Ho 0.164 0.836 0.500
Ho3 Ho 0.329 0.671 0.000
Ho4 Ho 0.671 0.329 0.000
Ho5 Ho 0.836 0.164 0.500
Te1 Te 0.097 0.420 0.258
Te2 Te 0.259 0.259 0.746
Te3 Te 0.420 0.097 0.258
Te4 Te 0.580 0.903 0.742
Te5 Te 0.741 0.741 0.254
Te6 Te 0.903 0.580 0.742
```

The 10 most intense peaks (2θ from 10° to 90°), low angle first:
2θ 29.26, intensity 50.7; 2θ 29.36, intensity 100.0; 2θ 41.90, intensity 56.8; 2θ 42.02, intensity 56.4; 2θ 52.06, intensity 30.0; 2θ 60.92, intensity 12.3; 2θ 68.93, intensity 25.4; 2θ 69.10, intensity 16.7; 2θ 76.54, intensity 12.4; 2θ 76.73, intensity 15.5


Record 6
For HoThTe4, DFT lattice parameters and positions (GGA-PBE) gives the theoretical X-ray powder pattern in this record (λ = 1.5418 Å (Cu Kα)).

Crystal structure
```
data_HoThTe4
_chemical_formula_sum 'Ho2 Th2 Te8'
_cell_length_a 7.619
_cell_length_b 7.533
_cell_length_c 7.615
_cell_angle_alpha 90.00
_cell_angle_beta 92.58
_cell_angle_gamma 90.00
_space_group_name_H-M_alt 'P 1'
_space_group_IT_number 1
loop_
_space_group_symop_operation_xyz
'x,y,z'
loop_
_atom_site_label
_atom_site_type_symbol
_atom_site_fract_x
_atom_site_fract_y
_atom_site_fract_z
Ho1 Ho 0.000 0.000 0.000
Ho2 Ho 0.000 0.500 0.500
Th1 Th 0.500 0.000 0.500
Th2 Th 0.500 0.500 0.000
Te1 Te 0.132 0.134 0.638
Te2 Te 0.132 0.366 0.138
Te3 Te 0.351 0.643 0.643
Te4 Te 0.351 0.857 0.143
Te5 Te 0.649 0.143 0.857
Te6 Te 0.649 0.357 0.357
Te7 Te 0.868 0.634 0.862
Te8 Te 0.868 0.866 0.362
```

The 10 most intense peaks (2θ from 10° to 90°), low angle first:
2θ 19.98, intensity 37.1; 2θ 20.59, intensity 32.3; 2θ 23.38, intensity 32.3; 2θ 26.24, intensity 40.2; 2θ 26.41, intensity 41.5; 2θ 28.34, intensity 36.5; 2θ 29.20, intensity 34.1; 2θ 33.48, intensity 50.6; 2θ 38.80, intensity 60.6; 2θ 39.80, intensity 100.0


Record 7
For Ho6ThTe8, DFT lattice parameters and positions (GGA-PBE) gives the theoretical X-ray powder pattern in this record (λ = 1.5418 Å (Cu Kα)).

Crystal structure
```
data_Ho6ThTe8
_chemical_formula_sum 'Ho6 Th1 Te8'
_cell_length_a 8.648
_cell_length_b 8.648
_cell_length_c 8.648
_cell_angle_alpha 60.00
_cell_angle_beta 60.00
_cell_angle_gamma 60.00
_space_group_name_H-M_alt 'P 1'
_space_group_IT_number 1
loop_
_space_group_symop_operation_xyz
'x,y,z'
loop_
_atom_site_label
_atom_site_type_symbol
_atom_site_fract_x
_atom_site_fract_y
_atom_site_fract_z
Ho1 Ho 0.000 0.000 0.500
Ho2 Ho 0.000 0.500 0.000
Ho3 Ho 0.000 0.500 0.500
Ho4 Ho 0.500 0.000 0.000
Ho5 Ho 0.500 0.000 0.500
Ho6 Ho 0.500 0.500 0.000
Th1 Th 0.000 0.000 0.000
Te1 Te 0.250 0.250 0.250
Te2 Te 0.263 0.263 0.737
Te3 Te 0.263 0.737 0.263
Te4 Te 0.263 0.737 0.737
Te5 Te 0.737 0.263 0.263
Te6 Te 0.737 0.263 0.737
Te7 Te 0.737 0.737 0.263
Te8 Te 0.750 0.750 0.750
```

The 10 most intense peaks (2θ from 10° to 90°), low angle first:
2θ 12.54, intensity 5.0; 2θ 24.13, intensity 7.9; 2θ 29.21, intensity 100.0; 2θ 31.90, intensity 7.0; 2θ 41.78, intensity 75.1; 2θ 51.79, intensity 26.5; 2θ 57.92, intensity 4.0; 2θ 60.57, intensity 12.3; 2θ 68.64, intensity 33.3; 2θ 76.28, intensity 24.4


Record 8
For Ho4TlTe, DFT lattice parameters and positions (GGA-PBE) gives the theoretical X-ray powder pattern in this record (λ = 1.5418 Å (Cu Kα)).

Crystal structure
```
data_Ho4TlTe
_chemical_formula_sum 'Ho8 Tl2 Te2'
_cell_length_a 6.125
_cell_length_b 6.479
_cell_length_c 8.596
_cell_angle_alpha 90.00
_cell_angle_beta 92.52
_cell_angle_gamma 90.00
_space_group_name_H-M_alt 'P 1'
_space_group_IT_number 1
loop_
_space_group_symop_operation_xyz
'x,y,z'
loop_
_atom_site_label
_atom_site_type_symbol
_atom_site_fract_x
_atom_site_fract_y
_atom_site_fract_z
Ho1 Ho 0.126 0.250 0.343
Ho2 Ho 0.156 0.750 0.041
Ho3 Ho 0.356 0.003 0.695
Ho4 Ho 0.356 0.497 0.695
Ho5 Ho 0.644 0.503 0.305
Ho6 Ho 0.644 0.997 0.305
Ho7 Ho 0.844 0.250 0.959
Ho8 Ho 0.874 0.750 0.657
Tl1 Tl 0.193 0.750 0.391
Tl2 Tl 0.807 0.250 0.609
Te1 Te 0.339 0.250 0.026
Te2 Te 0.661 0.750 0.974
```

The 10 most intense peaks (2θ from 10° to 90°), low angle first:
2θ 30.58, intensity 37.2; 2θ 31.24, intensity 100.0; 2θ 31.47, intensity 27.6; 2θ 33.19, intensity 84.1; 2θ 34.69, intensity 39.3; 2θ 35.23, intensity 40.1; 2θ 37.39, intensity 37.0; 2θ 39.44, intensity 24.1; 2θ 44.28, intensity 26.5; 2θ 56.87, intensity 28.2